1.
Computed PXRD pattern of TmTh3Sb4 for copper Kα, from a structure optimized by DFT (GGA-PBE).

Crystal structure
Unit cell a=7.7382 b=7.7382 c=4.4651 alpha=90.00 beta=90.00 gamma=109.42
Fractional positions:
Tm: 0.0000 0.0000 0.0000
Th: 0.0000 0.5000 0.5000
Th: 0.5000 0.0000 0.5000
Th: 0.5000 0.5000 0.0000
Sb: 0.2415 0.2415 0.5000
Sb: 0.2453 0.7547 0.0000
Sb: 0.7547 0.2453 0.0000
Sb: 0.7585 0.7585 0.5000

Peak list (12 most intense, 10° ≤ 2θ ≤ 90°, sorted by position)
2θ 24.40, rel. 13; 2θ 28.25, rel. 100; 2θ 40.38, rel. 77; 2θ 47.75, rel. 7; 2θ 50.01, rel. 28; 2θ 58.43, rel. 13; 2θ 64.27, rel. 3; 2θ 66.15, rel. 36; 2θ 73.43, rel. 27; 2θ 78.70, rel. 3; 2θ 87.29, rel. 7; 2θ 87.36, rel. 1



2.
Computed PXRD pattern of PrCdIn for copper Kα, from a structure optimized by DFT (GGA-PBE).

Crystal structure
Unit cell a=4.9598 b=4.9598 c=7.7877 alpha=90.00 beta=90.00 gamma=120.00
Fractional positions:
Pr: 0.0000 0.0000 0.2390
Pr: 0.0000 0.0000 0.7610
Cd: 0.3333 0.6667 0.9762
Cd: 0.6667 0.3333 0.0238
In: 0.3333 0.6667 0.5511
In: 0.6667 0.3333 0.4489

Peak list (12 most intense, 10° ≤ 2θ ≤ 90°, sorted by position)
2θ 23.66, rel. 8; 2θ 31.00, rel. 100; 2θ 36.22, rel. 77; 2θ 40.61, rel. 15; 2θ 46.65, rel. 6; 2θ 48.40, rel. 29; 2θ 60.45, rel. 17; 2θ 61.93, rel. 27; 2θ 65.16, rel. 13; 2θ 76.89, rel. 8; 2θ 83.88, rel. 7; 2θ 85.18, rel. 11



3.
Computed PXRD pattern of Cs2MgICl3 for copper Kα, from a structure optimized by DFT (GGA-PBE).

Crystal structure
Unit cell a=9.4993 b=9.4993 c=9.4993 alpha=148.28 beta=144.29 gamma=48.51
Fractional positions:
Cs: 0.1529 0.1529 0.0000
Cs: 0.8471 0.8471 0.0000
Mg: 0.5000 0.5000 0.0000
I: 0.0000 0.5000 0.5000
Cl: 0.3544 0.3544 0.0000
Cl: 0.5000 0.0000 0.5000
Cl: 0.6456 0.6456 0.0000

Peak list (12 most intense, 10° ≤ 2θ ≤ 90°, sorted by position)
2θ 16.05, rel. 30; 2θ 23.01, rel. 63; 2θ 25.17, rel. 48; 2θ 30.69, rel. 32; 2θ 30.97, rel. 100; 2θ 34.55, rel. 23; 2θ 38.72, rel. 23; 2θ 44.17, rel. 19; 2θ 46.88, rel. 19; 2θ 47.08, rel. 17; 2θ 57.25, rel. 16; 2θ 58.35, rel. 15



4.
Computed PXRD pattern of Ce2Sm3DyTe6 for copper Kα, from a structure optimized by DFT (GGA-PBE).

Crystal structure
Unit cell a=9.9461 b=9.9461 c=8.9484 alpha=103.35 beta=103.35 gamma=25.67
Fractional positions:
Ce: 0.1675 0.1675 0.3362
Ce: 0.8325 0.8325 0.6638
Sm: 0.1684 0.1684 0.8344
Sm: 0.5000 0.5000 0.5000
Sm: 0.8316 0.8316 0.1656
Dy: 0.5000 0.5000 0.0000
Te: 0.0013 0.0013 0.7561
Te: 0.3346 0.3346 0.4135
Te: 0.3361 0.3361 0.9194
Te: 0.6639 0.6639 0.0806
Te: 0.6654 0.6654 0.5865
Te: 0.9987 0.9987 0.2439

Peak list (12 most intense, 10° ≤ 2θ ≤ 90°, sorted by position)
2θ 28.40, rel. 100; 2θ 40.32, rel. 13; 2θ 40.51, rel. 26; 2θ 40.70, rel. 25; 2θ 40.85, rel. 13; 2θ 49.90, rel. 7; 2θ 50.22, rel. 7; 2θ 50.51, rel. 13; 2θ 58.74, rel. 9; 2θ 66.41, rel. 12; 2θ 66.68, rel. 11; 2θ 74.11, rel. 8